Starting from DFT lattice parameters and positions (GGA-PBE), the X-ray diffraction stick pattern of HfCuNi6 was computed for Cu Kα, 1.54184 Å.
Lines closer than 0.1° are merged.

Structural model:
a b c (Å): 6.3094 6.3094 10.3417
angles (deg): 90.00 90.00 110.33
Fractional positions:
Hf  0.0000  0.0000  0.2464
Hf  0.0000  0.0000  0.7536
Hf  0.2440  0.7560  0.5000
Hf  0.7560  0.2440  0.5000
Cu  0.2414  0.7586  0.0000
Cu  0.5000  0.5000  0.2440
Cu  0.5000  0.5000  0.7560
Cu  0.7586  0.2414  0.0000
Ni  0.0000  0.0000  0.0000
Ni  0.0000  0.0000  0.5000
Ni  0.1309  0.3863  0.1200
Ni  0.1309  0.3863  0.8800
Ni  0.1360  0.3817  0.3698
Ni  0.1360  0.3817  0.6302
Ni  0.2524  0.7476  0.2429
Ni  0.2524  0.7476  0.7571
Ni  0.3817  0.1360  0.3698
Ni  0.3817  0.1360  0.6302
Ni  0.3863  0.1309  0.1200
Ni  0.3863  0.1309  0.8800
Ni  0.5000  0.5000  0.0000
Ni  0.5000  0.5000  0.5000
Ni  0.6137  0.8691  0.1200
Ni  0.6137  0.8691  0.8800
Ni  0.6183  0.8640  0.3698
Ni  0.6183  0.8640  0.6302
Ni  0.7476  0.2524  0.2429
Ni  0.7476  0.2524  0.7571
Ni  0.8640  0.6183  0.3698
Ni  0.8640  0.6183  0.6302
Ni  0.8691  0.6137  0.1200
Ni  0.8691  0.6137  0.8800

Largest 8 diffraction maxima, by intensity, 10 to 90 degrees two-theta:
43.04°, intensity 100; 49.84°, intensity 32; 88.81°, intensity 22; 73.81°, intensity 18; 50.66°, intensity 15; 24.32°, intensity 7; 34.94°, intensity 6; 73.09°, intensity 5